Computed powder diffractogram
Compound: Na3CaPd8
Radiation: Cu Kα X-rays
Structure: DFT lattice parameters and positions (GGA-PBE)
Neutral-atom scattering factors, no anomalous dispersion.

Crystal structure
Cell: 5.4011 5.4011 26.4985 Å, 90.00 90.00 120.00°
Space group R3m (No. 160, hexagonal axes)
One atom of each set of equivalent atoms:
Na: 0.0000 0.0000 0.0000 (multiplicity 3)
Na: 0.0000 0.0000 0.1220 (multiplicity 3)
Na: 0.0000 0.0000 0.6286 (multiplicity 3)
Ca: 0.0000 0.0000 0.5009 (multiplicity 3)
Pd: 0.0000 0.0000 0.3131 (multiplicity 3)
Pd: 0.0000 0.0000 0.8131 (multiplicity 3)
Pd: 0.0006 0.5003 0.0634 (multiplicity 9)
Pd: 0.1670 0.3339 0.8961 (multiplicity 9)

Principal peaks in the range 2θ = 5–70°, by intensity:
- 39.1 deg, 2.304 Å, I 100
- 20.1 deg, 4.412 Å, I 87
- 40.9 deg, 2.206 Å, I 83
- 69.6 deg, 1.351 Å, I 31
- 63.2 deg, 1.471 Å, I 31
- 47.6 deg, 1.911 Å, I 30
- 52.2 deg, 1.753 Å, I 20
- 33.2 deg, 2.702 Å, I 4
- 59.2 deg, 1.560 Å, I 1



Computed powder diffractogram
Compound: Rb5HgSe3
Radiation: Cu Kα X-rays
Structure: DFT lattice parameters and positions (GGA-PBE)
Neutral-atom scattering factors, no anomalous dispersion.

Crystal structure
Cell: 18.964 8.292 10.769 Å, 90.00 106.56 90.00°
Space group C2/c (No. 15)
One atom of each set of equivalent atoms:
Rb: 0.000 0.102 0.250 (multiplicity 4)
Rb: 0.166 0.256 0.075 (multiplicity 8)
Rb: 0.167 0.252 0.591 (multiplicity 8)
Hg: 0.000 0.441 0.750 (multiplicity 4)
Se: 0.000 0.500 0.000 (multiplicity 4)
Se: 0.178 0.006 0.339 (multiplicity 8)

Principal peaks in the range 2θ = 5–70°, by intensity:
- 18.1 deg, 4.892 Å, I 100
- 29.5 deg, 3.030 Å, I 96
- 22.1 deg, 4.025 Å, I 83
- 31.0 deg, 2.888 Å, I 77
- 33.3 deg, 2.692 Å, I 71
- 27.6 deg, 3.233 Å, I 69
- 45.0 deg, 2.012 Å, I 59
- 23.6 deg, 3.772 Å, I 48
- 36.9 deg, 2.437 Å, I 42
- 29.2 deg, 3.063 Å, I 41



Q: What is the formula in the first record?
A: Na3CaPd8